1.
Simulated X-ray diffraction stick pattern
Compound: Tb2SmIn4
Radiation: Cu Kα (weighted mean of Kα1 and Kα2)
Structure: a cell relaxed with GGA-PBE

Most intense lines, 2θ = 15–90°, low angle first:
index	2theta	intensity
1 0 1	17.81	12.0
1 1 2	26.72	9.4
2 0 0	33.88	52.0
1 1 4	34.14	100.0
2 2 0	48.67	18.5
0 0 8	49.43	9.4
3 1 4	60.78	37.0
2 0 8	61.28	17.4
2 2 8	71.90	11.0
4 2 0	81.31	8.2

Atomic structure:
```
data_Tb2SmIn4
_space_group_name_H-M_alt 'I 4/m m m'
_space_group_IT_number 139
_space_group_name_Hall '-I 4 2'
_cell_length_a 5.2919
_cell_length_b 5.2919
_cell_length_c 14.7475
_cell_angle_alpha 90.00
_cell_angle_beta 90.00
_cell_angle_gamma 90.00
loop_
_atom_site_label
_atom_site_type_symbol
_atom_site_fract_x
_atom_site_fract_y
_atom_site_fract_z
Tb1 Tb 0.0000 0.0000 0.2467
Sm1 Sm 0.0000 0.0000 0.5000
In1 In 0.0000 0.5000 0.1180
```

---

2.
Simulated X-ray diffraction stick pattern
Compound: Tb5Sm3In2
Radiation: Cu Kα (weighted mean of Kα1 and Kα2)
Structure: a cell relaxed with GGA-PBE

Most intense lines, 2θ = 15–90°, low angle first:
index	2theta	intensity
2 3 1	26.02	18.0
0 2 2	30.04	100.0
2 5 1	34.86	33.9
4 4 0	36.19	25.1
4 0 2	39.62	40.0
4 6 2	53.52	11.2
2 5 3	53.78	18.8
0 0 4	57.27	14.3
4 2 4	66.03	20.2
0 10 2	66.61	13.1

Atomic structure:
```
data_Tb5Sm3In2
_space_group_name_H-M_alt 'I b a m'
_space_group_IT_number 72
_space_group_name_Hall '-I 2 2c'
_cell_length_a 12.8673
_cell_length_b 15.6052
_cell_length_c 6.4353
_cell_angle_alpha 90.00
_cell_angle_beta 90.00
_cell_angle_gamma 90.00
loop_
_atom_site_label
_atom_site_type_symbol
_atom_site_fract_x
_atom_site_fract_y
_atom_site_fract_z
Tb1 Tb 0.0000 0.0000 0.2500
Tb2 Tb 0.1249 0.1632 0.0000
Tb3 Tb 0.2483 0.0000 0.2500
Sm1 Sm 0.0000 0.5000 0.2500
Sm2 Sm 0.1150 0.2623 0.5000
In1 In 0.1348 0.3533 0.0000
```

---

3.
Simulated X-ray diffraction stick pattern
Compound: Tb3Sm8In2
Radiation: Cu Kα (weighted mean of Kα1 and Kα2)
Structure: a cell relaxed with GGA-PBE

Most intense lines, 2θ = 15–90°, low angle first:
index	2theta	intensity
2 2 -1	25.59	30.8
4 0 -1	26.84	22.9
2 0 2	32.05	100.0
3 1 -2	32.31	90.4
1 3 1	32.90	72.3
4 2 -1	33.05	38.3
5 1 0	33.22	76.8
3 3 0	34.53	38.9
3 5 -2	58.73	22.9
0 6 0	59.29	33.5

Atomic structure:
```
data_Tb3Sm8In2
_space_group_name_H-M_alt 'C 1 2/m 1'
_space_group_IT_number 12
_cell_length_a 14.2637
_cell_length_b 9.3538
_cell_length_c 6.5969
_cell_angle_alpha 90.00
_cell_angle_beta 99.16
_cell_angle_gamma 90.00
loop_
_space_group_symop_operation_xyz
'x,y,z'
'-x,-y,-z'
'-x,y,-z'
'x,-y,z'
'x+1/2,y+1/2,z'
'-x+1/2,-y+1/2,-z'
'-x+1/2,y+1/2,-z'
'x+1/2,-y+1/2,z'
loop_
_atom_site_label
_atom_site_type_symbol
_atom_site_fract_x
_atom_site_fract_y
_atom_site_fract_z
Tb1 Tb 0.0000 0.0000 0.0000
Tb2 Tb 0.0000 0.1679 0.5000
Sm1 Sm 0.0851 0.5000 0.3780
Sm2 Sm 0.1232 0.3195 0.9434
Sm3 Sm 0.2048 0.0000 0.3440
In1 In 0.1941 0.0000 0.8164
```

---

4.
Simulated X-ray diffraction stick pattern
Compound: Tb12Sm2In
Radiation: Cu Kα (weighted mean of Kα1 and Kα2)
Structure: a cell relaxed with GGA-PBE

Most intense lines, 2θ = 15–90°, low angle first:
index	2theta	intensity
1 0 4	29.01	29.2
0 1 7	30.22	28.1
1 1 2	30.47	100.0
0 2 0	31.53	97.3
1 1 4	33.11	49.0
0 1 8	33.51	96.3
1 1 6	37.14	62.6
2 0 0	51.14	22.1
2 2 0	61.32	25.5
2 1 8	62.54	26.9

Atomic structure:
```
data_Tb12Sm2In
_space_group_name_H-M_alt 'P m m m'
_space_group_IT_number 47
_cell_length_a 3.5720
_cell_length_b 5.6773
_cell_length_c 24.2493
_cell_angle_alpha 90.00
_cell_angle_beta 90.00
_cell_angle_gamma 90.00
loop_
_space_group_symop_operation_xyz
'x,y,z'
'-x,-y,-z'
'-x,-y,z'
'x,y,-z'
'x,-y,-z'
'-x,y,z'
'-x,y,-z'
'x,-y,z'
loop_
_atom_site_label
_atom_site_type_symbol
_atom_site_fract_x
_atom_site_fract_y
_atom_site_fract_z
Tb1 Tb 0.0000 0.0000 0.0635
Tb2 Tb 0.0000 0.0000 0.4282
Tb3 Tb 0.5000 0.0000 0.1767
Tb4 Tb 0.5000 0.0000 0.3072
Tb5 Tb 0.5000 0.5000 0.0867
Tb6 Tb 0.5000 0.5000 0.3819
Sm1 Sm 0.0000 0.5000 0.2385
In1 In 0.0000 0.5000 0.5000
```

---

Q: What is the formula in the third record?
A: Tb3Sm8In2